Entry 1:
Diffraction record for Sr4MgFe4O11. The powder XRD pattern is simulated, not measured: it uses a DFT-relaxed cell (GGA+U, the Materials Project) and a wavelength of 1.5418 Å.
Kinematic intensities with the Lorentz-polarization factor, no thermal factor.

Structural model:
```
data_Sr4MgFe4O11
_space_group_name_H-M_alt 'P 1'
_space_group_IT_number 1
_cell_length_a 5.577
_cell_length_b 6.940
_cell_length_c 7.058
_cell_angle_alpha 73.81
_cell_angle_beta 89.96
_cell_angle_gamma 89.86
loop_
_space_group_symop_operation_xyz
'x,y,z'
loop_
_atom_site_label
_atom_site_fract_x
_atom_site_fract_y
_atom_site_fract_z
Sr1 0.000 0.000 0.000
Sr2 0.000 0.500 0.500
Sr3 0.499 0.304 0.174
Sr4 0.501 0.696 0.826
Mg1 0.500 0.000 0.500
Fe1 0.000 0.000 0.500
Fe2 0.000 0.500 0.000
Fe3 0.500 0.234 0.767
Fe4 0.500 0.766 0.233
O1 0.003 0.231 0.217
O2 0.256 0.396 0.850
O3 0.256 0.606 0.149
O4 0.261 0.158 0.590
O5 0.262 0.839 0.413
O6 0.500 0.000 0.000
O7 0.738 0.161 0.587
O8 0.739 0.842 0.410
O9 0.744 0.394 0.851
O10 0.744 0.604 0.150
O11 0.997 0.769 0.783
```

Main lines, by intensity (2θ = 5–70°):
index  d (Å)  Rel. int.
1 -2 0  2.861  100
1 0 -2  2.896  89
2 0 0  2.789  59
0 2 2  2.798  56
2 2 2  1.977  46
-2 2 2  1.973  44
1 4 2  1.621  33
0 2 -2  2.101  28

---

Entry 2:
Diffraction record for Mg6VSnO8. The powder XRD pattern is simulated, not measured: it uses a DFT-relaxed cell (GGA+U, the Materials Project) and a wavelength of 1.5418 Å.
Kinematic intensities with the Lorentz-polarization factor, no thermal factor.

Structural model:
```
data_Mg6VSnO8
_space_group_name_H-M_alt 'P 1'
_space_group_IT_number 1
_cell_length_a 4.461
_cell_length_b 4.461
_cell_length_c 8.828
_cell_angle_alpha 90.00
_cell_angle_beta 90.00
_cell_angle_gamma 90.00
loop_
_space_group_symop_operation_xyz
'x,y,z'
loop_
_atom_site_label
_atom_site_fract_x
_atom_site_fract_y
_atom_site_fract_z
Mg1 0.000 0.000 0.000
Mg2 0.000 0.500 0.238
Mg3 0.000 0.500 0.762
Mg4 0.500 0.000 0.238
Mg5 0.500 0.000 0.762
Mg6 0.500 0.500 0.000
V1 0.000 0.000 0.500
Sn1 0.500 0.500 0.500
O1 0.000 0.000 0.244
O2 0.000 0.000 0.756
O3 0.000 0.500 0.000
O4 0.000 0.500 0.500
O5 0.500 0.000 0.000
O6 0.500 0.000 0.500
O7 0.500 0.500 0.226
O8 0.500 0.500 0.774
```

Main lines, by intensity (2θ = 5–70°):
index  d (Å)  Rel. int.
2 0 0  2.231  100
0 0 1  8.828  73
2 0 4  1.569  57
1 1 2  2.567  55
0 0 4  2.207  46
1 1 1  2.971  32
2 2 0  1.577  30
0 0 2  4.414  22